Starting from a crystal structure in OQMD, relaxed with PBE, the X-ray powder pattern of Gd2YIn3PdAu2 was calculated for copper Kα.
Intensities are scaled so that the largest is 100.

Largest 10 diffraction maxima, by angle, 2θ from 10° to 90°:
3.896 Å, rel. 15; 2.774 Å, rel. 100; 2.566 Å, rel. 95; 2.550 Å, rel. 48; 2.249 Å, rel. 50; 2.143 Å, rel. 39; 1.976 Å, rel. 26; 1.562 Å, rel. 21; 1.485 Å, rel. 27; 1.441 Å, rel. 34

Structure:
```
Gd2YIn3PdAu2
1.0
3.952 0.000 0.000
0.000 6.748 3.895
0.000 -6.748 3.895
Gd Y In Pd Au
2 1 3 1 2
Direct
0.000 0.204 0.796 Gd
0.000 0.796 0.204 Gd
0.000 0.610 0.610 Y
0.500 0.204 0.458 In
0.500 0.458 0.204 In
0.500 0.950 0.950 In
0.000 0.204 0.204 Pd
0.500 0.538 0.870 Au
0.500 0.870 0.538 Au
```